[1]
Computed powder diffraction line list of Li2LaScTl4 for CuKα, from a GGA-PBE-relaxed structure.
Kinematic intensities with the Lorentz-polarization factor, no thermal factor.

Cell and atoms:
Lattice parameters (Å, degrees): 9.8255 9.8255 9.8255 29.13 29.13 29.13
Atoms (fractional coordinates):
Li  0.2370  0.2370  0.2370
Li  0.7630  0.7630  0.7630
La  0.0000  0.0000  0.0000
Sc  0.5000  0.5000  0.5000
Tl  0.1240  0.1240  0.1240
Tl  0.3917  0.3917  0.3917
Tl  0.6083  0.6083  0.6083
Tl  0.8760  0.8760  0.8760

Most intense lines, 10° ≤ 2θ ≤ 90°, in order of rising 2θ:
2θ = 21.70°, rel. 26; 2θ = 24.33°, rel. 92; 2θ = 30.47°, rel. 18; 2θ = 32.91°, rel. 97; 2θ = 36.36°, rel. 100; 2θ = 38.22°, rel. 30; 2θ = 44.23°, rel. 20; 2θ = 49.85°, rel. 31; 2θ = 63.25°, rel. 30; 2θ = 65.42°, rel. 18

=====

[2]
Computed powder diffraction line list of LiLa3Se4 for CuKα, from a GGA-PBE-relaxed structure.
Kinematic intensities with the Lorentz-polarization factor, no thermal factor.

Cell and atoms:
Lattice parameters (Å, degrees): 8.5128 12.0643 4.2803 90.00 90.00 90.00
Atoms (fractional coordinates):
Li  0.0000  0.0000  0.0000
Li  0.5000  0.5000  0.0000
La  0.0000  0.5000  0.0000
La  0.2500  0.2500  0.5000
La  0.2500  0.7500  0.5000
La  0.5000  0.0000  0.0000
La  0.7500  0.2500  0.5000
La  0.7500  0.7500  0.5000
Se  0.0000  0.2432  0.0000
Se  0.0000  0.7568  0.0000
Se  0.2410  0.0000  0.5000
Se  0.2590  0.5000  0.5000
Se  0.5000  0.2568  0.0000
Se  0.5000  0.7432  0.0000
Se  0.7410  0.5000  0.5000
Se  0.7590  0.0000  0.5000

Most intense lines, 10° ≤ 2θ ≤ 90°, in order of rising 2θ:
2θ = 12.73°, rel. 12; 2θ = 29.60°, rel. 100; 2θ = 42.23°, rel. 13; 2θ = 42.37°, rel. 49; 2θ = 42.48°, rel. 12; 2θ = 52.42°, rel. 13; 2θ = 52.63°, rel. 13; 2θ = 61.46°, rel. 12; 2θ = 69.69°, rel. 22; 2θ = 77.63°, rel. 12

=====

[3]
Computed powder diffraction line list of LiLa4Se5 for CuKα, from a GGA-PBE-relaxed structure.
Kinematic intensities with the Lorentz-polarization factor, no thermal factor.

Cell and atoms:
Lattice parameters (Å, degrees): 7.4023 7.4023 7.4023 99.65 99.65 131.67
Atoms (fractional coordinates):
Li  0.0000  0.0000  0.0000
La  0.1680  0.5673  0.7989
La  0.3691  0.1680  0.6007
La  0.5673  0.7684  0.3993
La  0.7684  0.3691  0.2011
Se  0.0645  0.2575  0.3855
Se  0.2575  0.8720  0.1930
Se  0.4615  0.4615  0.0000
Se  0.6790  0.0645  0.8070
Se  0.8720  0.6790  0.6145

Most intense lines, 10° ≤ 2θ ≤ 90°, in order of rising 2θ:
2θ = 17.33°, rel. 8; 2θ = 25.51°, rel. 10; 2θ = 29.54°, rel. 100; 2θ = 42.27°, rel. 75; 2θ = 52.41°, rel. 26; 2θ = 61.39°, rel. 8; 2θ = 69.39°, rel. 11; 2θ = 69.58°, rel. 21; 2θ = 77.19°, rel. 8; 2θ = 77.35°, rel. 16

=====

[4]
Computed powder diffraction line list of LiLa6Se8 for CuKα, from a GGA-PBE-relaxed structure.
Kinematic intensities with the Lorentz-polarization factor, no thermal factor.

Cell and atoms:
Lattice parameters (Å, degrees): 7.9614 7.9614 7.9614 68.04 68.04 68.04
Atoms (fractional coordinates):
Li  0.0000  0.0000  0.0000
La  0.0765  0.4623  0.7022
La  0.2978  0.9235  0.5377
La  0.4623  0.7022  0.0765
La  0.5377  0.2978  0.9235
La  0.7022  0.0765  0.4623
La  0.9235  0.5377  0.2978
Se  0.0934  0.8151  0.3533
Se  0.1849  0.6467  0.9066
Se  0.3309  0.3309  0.3309
Se  0.3533  0.0934  0.8151
Se  0.6467  0.9066  0.1849
Se  0.6691  0.6691  0.6691
Se  0.8151  0.3533  0.0934
Se  0.9066  0.1849  0.6467

Most intense lines, 10° ≤ 2θ ≤ 90°, in order of rising 2θ:
2θ = 19.93°, rel. 62; 2θ = 24.78°, rel. 48; 2θ = 29.40°, rel. 60; 2θ = 31.06°, rel. 34; 2θ = 32.23°, rel. 52; 2θ = 34.89°, rel. 100; 2θ = 35.77°, rel. 93; 2θ = 36.58°, rel. 34; 2θ = 46.25°, rel. 44; 2θ = 50.84°, rel. 33